The following is a theoretical powder X-ray diffraction pattern of Ac6AsIr3. It was derived from a DFT-relaxed cell (GGA-PBE, Alexandria), using Cu Kα (λ = 1.5418 Å).
Intensities are scaled so that the largest is 100.

Largest 8 diffraction maxima, by angle, 2θ from 10° to 80°:
- d 3.242, I 74, hkl 2 1 1
- d 3.096, I 100, hkl 2 0 -4
- d 3.044, I 35, hkl 3 1 -1
- d 2.958, I 78, hkl 3 1 0
- d 2.475, I 43, hkl 4 1 0
- d 2.406, I 42, hkl 4 1 -3
- d 2.209, I 51, hkl 0 2 0
- d 1.799, I 35, hkl 2 2 -4

```
data_Ac6AsIr3
_cell_length_a 12.5948
_cell_length_b 4.4184
_cell_length_c 12.6208
_cell_angle_alpha 90.00
_cell_angle_beta 108.57
_cell_angle_gamma 90.00
_space_group_name_H-M_alt 'P 1 21/m 1'
_space_group_IT_number 11
loop_
_space_group_symop_operation_xyz
'x,y,z'
'-x,-y,-z'
'-x,y+1/2,-z'
'x,-y+1/2,z'
loop_
_atom_site_label
_atom_site_type_symbol
_atom_site_fract_x
_atom_site_fract_y
_atom_site_fract_z
Ac1 Ac 0.0381 0.2500 0.3928
Ac2 Ac 0.1062 0.2500 0.9414
Ac3 Ac 0.2216 0.7500 0.2622
Ac4 Ac 0.2882 0.7500 0.7583
Ac5 Ac 0.3743 0.2500 0.5388
Ac6 Ac 0.4240 0.7500 0.0924
As1 As 0.4476 0.2500 0.3124
Ir1 Ir 0.0553 0.2500 0.1649
Ir2 Ir 0.1925 0.7500 0.4966
Ir3 Ir 0.3442 0.2500 0.9181
```